For Ba2ScPaO6, the PBE geometry in the Materials Project gives the simulated X-ray powder pattern in this record (Cu Kα).
No peak broadening, texture or thermal motion is included.

Structural model:
```
Ba2ScPaO6
1.0
0.000 4.316 4.316
4.316 0.000 4.316
4.316 4.316 0.000
Ba Sc Pa O
2 1 1 6
Direct
0.250 0.250 0.250
0.750 0.750 0.750
0.000 0.000 0.000
0.500 0.500 0.500
0.247 0.247 0.753
0.247 0.753 0.247
0.247 0.753 0.753
0.753 0.247 0.247
0.753 0.247 0.753
0.753 0.753 0.247
```

Peak list (12 most intense, 10 to 80 degrees two-theta, in order of falling intensity)
2θ 29.3, rel. 100
2θ 51.9, rel. 41
2θ 41.9, rel. 30
2θ 17.8, rel. 27
2θ 60.7, rel. 19
2θ 68.8, rel. 18
2θ 34.5, rel. 17
2θ 45.8, rel. 8
2θ 76.4, rel. 6
2θ 55.3, rel. 6
2θ 63.8, rel. 6
2θ 79.2, rel. 3